This entry pairs a crystal structure of Nd2Ho3In2 with its theoretical X-ray powder pattern. Radiation: CuKα. Structure: a crystal structure in Alexandria, relaxed with GGA-PBE.
No peak broadening, texture or thermal motion is included.

Peak list (10 most intense, 10 to 80 degrees two-theta, low angle first)
2θ = 31.95°, I = 99.4, hkl 1 0 7; 2θ = 32.88°, I = 100.0, hkl 1 1 0; 2θ = 46.50°, I = 35.0, hkl 0 2 7; 2θ = 56.33°, I = 15.2, hkl 0 1 14; 2θ = 58.12°, I = 35.9, hkl 2 1 7; 2θ = 58.71°, I = 18.9, hkl 3 0 0; 2θ = 66.79°, I = 9.1, hkl 2 0 14; 2θ = 68.95°, I = 11.6, hkl 2 2 0; 2θ = 76.47°, I = 12.3, hkl 1 2 14; 2θ = 78.01°, I = 15.2, hkl 1 3 7

Structure:
Cell lengths 5.4480, 5.4480, 24.3713 Å; angles 90.00, 90.00, 120.00 degrees
Space group R-3m (No. 166, hexagonal axes)
One atom of each set of equivalent atoms:
Nd: 0.0000 0.0000 0.0776
Ho: 0.0000 0.0000 0.3476
Ho: 0.0000 0.0000 0.5000
In: 0.0000 0.0000 0.2176



This entry pairs a crystal structure of K2TbBe2S4 with its theoretical X-ray powder pattern. Radiation: CuKα. Structure: a crystal structure in Alexandria, relaxed with GGA-PBE.
No peak broadening, texture or thermal motion is included.

Peak list (10 most intense, 10 to 80 degrees two-theta, low angle first)
2θ = 12.14°, I = 88.8, hkl 0 0 1; 2θ = 13.10°, I = 79.8, hkl 2 0 0; 2θ = 22.86°, I = 29.7, hkl 2 0 -2; 2θ = 24.42°, I = 43.6, hkl 4 0 -1; 2θ = 25.09°, I = 40.5, hkl 1 1 0; 2θ = 26.81°, I = 30.1, hkl 1 1 -1; 2θ = 30.80°, I = 29.5, hkl 3 1 -1; 2θ = 33.22°, I = 46.2, hkl 4 0 1; 2θ = 33.42°, I = 100.0, hkl 1 1 -2; 2θ = 39.35°, I = 50.4, hkl 5 1 -1

Structure:
Cell lengths 14.6297, 3.6782, 7.8916 Å; angles 90.00, 112.50, 90.00 degrees
Space group C2/m (No. 12)
One atom of each set of equivalent atoms:
K: 0.1270 0.0000 0.0502
Tb: 0.0000 0.0000 0.5000
Be: 0.1711 0.5000 0.4751
S: 0.0326 0.5000 0.2645
S: 0.2080 0.0000 0.6403



This entry pairs a crystal structure of ReNi7Ir2 with its theoretical X-ray powder pattern. Radiation: CuKα. Structure: a crystal structure in Alexandria, relaxed with GGA-PBE.
No peak broadening, texture or thermal motion is included.

Peak list (10 most intense, 10 to 80 degrees two-theta, low angle first)
2θ = 15.92°, I = 59.2, hkl 1 1 0; 2θ = 21.91°, I = 71.8, hkl 2 0 0; 2θ = 41.47°, I = 27.8, hkl 1 3 -1; 2θ = 43.30°, I = 51.5, hkl 2 0 -2; 2θ = 43.69°, I = 100.0, hkl 1 3 1; 2θ = 44.67°, I = 47.1, hkl 4 0 0; 2θ = 50.87°, I = 64.6, hkl 3 3 -1; 2θ = 51.48°, I = 30.8, hkl 2 0 2; 2θ = 74.33°, I = 29.7, hkl 1 3 -3; 2θ = 76.28°, I = 18.5, hkl 5 3 1

Structure:
Cell lengths 8.2723, 7.6529, 4.4236 Å; angles 90.00, 101.21, 90.00 degrees
Space group C2/m (No. 12)
One atom of each set of equivalent atoms:
Re: 0.0000 0.0000 0.0000
Ni: 0.0000 0.3402 0.0000
Ni: 0.0000 0.5000 0.5000
Ni: 0.2472 0.3357 0.7560
Ir: 0.0000 0.1716 0.5000